[1]
Computed XRD peak list of Pm2Nd2SmDy for Cu Kα X-rays, from a structure optimized by DFT (PBE).
Intensities are scaled so that the largest is 100.

Structure:
```
12
Lattice="6.7560 0.0000 0.0000 0.0000 18.0020 0.0000 0.0000 0.0000 3.4312" Properties=species:S:1:pos:R:3 pbc="T T T"
Pm 1.5648 2.6714 0.0000
Pm 1.8132 11.6724 1.7156
Pm 4.9428 6.3296 1.7156
Pm 5.1911 15.3306 0.0000
Nd 1.5985 5.7425 1.7156
Nd 1.7794 14.7435 0.0000
Nd 4.9765 3.2584 0.0000
Nd 5.1574 12.2594 1.7156
Sm 0.0000 0.0000 1.7156
Sm 3.3780 9.0010 0.0000
Dy 0.0000 9.0010 1.7156
Dy 3.3780 0.0000 0.0000
```

Principal peaks in the range 10° ≤ 2θ ≤ 90°, most intense first:
two_theta, d [Å], I_rel
28.2, 3.163, 100.0
29.8, 3.000, 80.5
30.0, 2.979, 76.2
40.4, 2.234, 70.9
33.2, 2.702, 69.6
26.4, 3.373, 45.6



[2]
Computed XRD peak list of Pm3NdSmDy for Cu Kα X-rays, from a structure optimized by DFT (PBE).
Intensities are scaled so that the largest is 100.

Structure:
```
12
Lattice="8.1155 0.0000 0.0000 0.0000 5.1474 0.0000 -3.2596 0.0000 9.7384" Properties=species:S:1:pos:R:3 pbc="T T T"
Pm 1.2239 1.2868 0.4111
Pm -1.2143 3.8605 7.7042
Pm -0.3924 1.2868 5.2770
Pm 5.2482 3.8605 4.4614
Pm 6.0702 1.2868 2.0342
Pm 3.6320 3.8605 9.3274
Nd 0.4141 3.8605 2.8513
Nd 4.4417 1.2868 6.8872
Sm 1.2078 1.2868 8.5143
Sm 3.6481 3.8605 1.2242
Dy 2.8311 1.2868 3.6587
Dy 2.0248 3.8605 6.0798
```

Principal peaks in the range 10° ≤ 2θ ≤ 90°, most intense first:
two_theta, d [Å], I_rel
30.1, 2.966, 100.0
34.9, 2.571, 33.9
50.2, 1.817, 30.2
59.8, 1.548, 21.5
35.0, 2.565, 16.8
59.6, 1.551, 14.5



[3]
Computed XRD peak list of Pm4Nd2Sm2Dy for Cu Kα X-rays, from a structure optimized by DFT (PBE).
Intensities are scaled so that the largest is 100.

Structure:
```
9
Lattice="9.5190 -1.8356 0.0000 9.5190 1.8356 0.0000 -4.2234 0.0000 8.8126" Properties=species:S:1:pos:R:3 pbc="T T T"
Pm -1.0507 0.0000 2.9211
Pm 3.1751 0.0000 5.8801
Pm 11.6395 0.0000 2.9325
Pm 15.8654 0.0000 5.8915
Nd -1.0694 0.0000 8.8074
Nd 15.8840 0.0000 0.0051
Sm 5.2994 0.0000 2.9347
Sm 9.5152 0.0000 5.8779
Dy 9.5190 0.0000 0.0000
```

Principal peaks in the range 10° ≤ 2θ ≤ 90°, most intense first:
two_theta, d [Å], I_rel
31.2, 2.863, 100.0
32.9, 2.723, 85.8
30.4, 2.938, 49.7
49.7, 1.834, 38.1
28.3, 3.153, 36.4
59.4, 1.556, 29.8



[4]
Computed XRD peak list of TbPm2NdDy5 for Cu Kα X-rays, from a structure optimized by DFT (PBE).
Intensities are scaled so that the largest is 100.

Structure:
```
18
Lattice="-4.3677 4.3677 7.7496 4.3677 -4.3677 7.7496 4.3677 4.3677 -7.7496" Properties=species:S:1:pos:R:3 pbc="T T T"
Tb 4.3677 0.0000 3.8748
Tb 0.0000 4.3677 3.8748
Pm 5.3866 1.0189 0.0000
Pm 1.0189 3.3488 0.0000
Pm 3.3488 1.0189 7.7496
Pm -1.0189 3.3488 7.7496
Nd 0.0000 0.0000 3.8748
Nd 0.0000 0.0000 11.6245
Dy 0.0000 0.0000 0.0000
Dy 2.5389 1.8289 -2.1268
Dy 2.5389 -1.8289 5.6229
Dy 2.5389 1.8289 2.1268
Dy 2.5389 -1.8289 9.8764
Dy 0.0000 0.0000 7.7496
Dy 1.8289 6.1966 -2.1268
Dy 1.8289 2.5389 5.6229
Dy 1.8289 6.1966 2.1268
Dy 1.8289 2.5389 9.8764
```

Principal peaks in the range 10° ≤ 2θ ≤ 90°, most intense first:
two_theta, d [Å], I_rel
30.8, 2.899, 100.0
28.9, 3.088, 51.0
28.6, 3.116, 47.3
52.5, 1.744, 21.8
43.1, 2.100, 20.2
37.6, 2.394, 16.5



[5]
Computed XRD peak list of TbPm4Nd2Dy2 for Cu Kα X-rays, from a structure optimized by DFT (PBE).
Intensities are scaled so that the largest is 100.

Structure:
```
9
Lattice="7.6957 -2.5654 0.0000 7.6957 2.5654 0.0000 -2.5731 0.0000 7.6627" Properties=species:S:1:pos:R:3 pbc="T T T"
Tb 0.0000 0.0000 0.0000
Pm 2.5597 0.0000 2.5341
Pm 5.1216 0.0000 5.1264
Pm 7.6967 0.0000 2.5363
Pm 10.2587 0.0000 5.1286
Nd -0.0028 0.0000 5.1254
Nd 12.8212 0.0000 2.5373
Dy 2.5580 0.0000 7.6624
Dy 10.2604 0.0000 0.0003
```

Principal peaks in the range 10° ≤ 2θ ≤ 90°, most intense first:
two_theta, d [Å], I_rel
30.2, 2.958, 100.0
35.0, 2.565, 33.9
59.8, 1.546, 28.9
50.3, 1.813, 18.2
50.4, 1.810, 18.1
35.1, 2.554, 16.7



[6]
Computed XRD peak list of Tb2Pm4NdDy2 for Cu Kα X-rays, from a structure optimized by DFT (PBE).
Intensities are scaled so that the largest is 100.

Structure:
```
9
Lattice="7.6617 -2.5493 0.0000 7.6617 2.5493 0.0000 -2.5511 0.0000 7.6510" Properties=species:S:1:pos:R:3 pbc="T T T"
Tb 1.2797 0.0000 1.2792
Tb 11.4927 0.0000 6.3718
Pm 1.2912 0.0000 6.3687
Pm 6.3948 0.0000 1.2786
Pm 6.3776 0.0000 6.3724
Pm 11.4812 0.0000 1.2822
Nd -1.2755 0.0000 3.8255
Dy 3.8125 0.0000 3.8300
Dy 8.9599 0.0000 3.8210
```

Principal peaks in the range 10° ≤ 2θ ≤ 90°, most intense first:
two_theta, d [Å], I_rel
30.3, 2.946, 100.0
35.2, 2.551, 50.7
60.1, 1.538, 43.1
50.6, 1.804, 36.2
82.4, 1.171, 17.7
63.1, 1.473, 12.4



[7]
Computed XRD peak list of TbPm2Nd5Dy for Cu Kα X-rays, from a structure optimized by DFT (PBE).
Intensities are scaled so that the largest is 100.

Structure:
```
18
Lattice="-4.3544 4.3544 8.2208 4.3544 -4.3544 8.2208 4.3544 4.3544 -8.2208" Properties=species:S:1:pos:R:3 pbc="T T T"
Tb 4.3544 0.0000 4.1104
Tb 0.0000 4.3544 4.1104
Pm 5.4004 1.0459 0.0000
Pm 1.0459 3.3085 0.0000
Pm 3.3085 1.0459 8.2208
Pm -1.0459 3.3085 8.2208
Nd 0.0000 0.0000 0.0000
Nd 2.5090 1.8455 -2.3263
Nd 2.5090 -1.8455 5.8945
Nd 2.5090 1.8455 2.3263
Nd 2.5090 -1.8455 10.5471
Nd 0.0000 0.0000 8.2208
Nd 1.8455 6.1999 -2.3263
Nd 1.8455 2.5090 5.8945
Nd 1.8455 6.1999 2.3263
Nd 1.8455 2.5090 10.5471
Dy 0.0000 0.0000 4.1104
Dy 0.0000 0.0000 12.3313
```

Principal peaks in the range 10° ≤ 2θ ≤ 90°, most intense first:
two_theta, d [Å], I_rel
29.9, 2.989, 100.0
29.0, 3.079, 50.6
28.1, 3.175, 48.3
52.0, 1.760, 24.3
37.6, 2.390, 14.8
53.6, 1.709, 13.7



[8]
Computed XRD peak list of PmNdDy2Te6 for Cu Kα X-rays, from a structure optimized by DFT (PBE).
Intensities are scaled so that the largest is 100.

Structure:
```
10
Lattice="3.9105 2.2577 7.0791 -3.9105 2.2577 7.0791 0.0000 -4.5154 7.0791" Properties=species:S:1:pos:R:3 pbc="T T T"
Pm 0.0000 0.0000 0.0000
Nd 0.0000 0.0000 10.6059
Dy 0.0000 0.0000 4.0160
Dy 0.0000 0.0000 14.6266
Te -1.3078 -2.4758 9.1539
Te -2.4341 0.0973 12.6995
Te -1.4902 2.3705 9.1539
Te 1.1328 -2.1567 12.6995
Te 2.7980 0.1053 9.1539
Te 1.3013 2.0593 12.6995
```

Principal peaks in the range 10° ≤ 2θ ≤ 90°, most intense first:
two_theta, d [Å], I_rel
34.2, 2.624, 100.0
26.0, 3.423, 95.0
39.9, 2.258, 64.7
15.5, 5.710, 35.9
21.3, 4.179, 27.7
53.5, 1.711, 26.0



[9]
Computed XRD peak list of Pm6NdDy2Th for Cu Kα X-rays, from a structure optimized by DFT (PBE).
Intensities are scaled so that the largest is 100.

Structure:
```
20
Lattice="4.6738 -7.5152 0.0000 4.6738 7.5152 0.0000 -1.3836 0.0000 9.7003" Properties=species:S:1:pos:R:3 pbc="T T T"
Pm 2.5221 4.2078 1.7889
Pm 3.2740 4.8780 5.4126
Pm 3.9981 4.8780 9.1378
Pm 3.2601 1.6080 3.6893
Pm 6.1336 4.2078 3.0612
Pm 5.3957 1.6080 1.1608
Pm 2.5683 -1.6080 8.5395
Pm 1.8303 -4.2078 6.6390
Pm 4.7039 -1.6080 6.0109
Pm 3.9658 -4.8780 0.5624
Pm 4.6899 -4.8780 4.2877
Pm 5.4418 -4.2078 7.9114
Nd 3.6361 1.4321 7.2752
Nd 4.3279 -1.4321 2.4251
Dy 2.1941 0.6827 0.4856
Dy 1.5023 -0.6827 5.3357
Dy 6.4617 0.6827 4.3646
Dy 5.7699 -0.6827 9.2147
Th 4.3279 7.0756 2.4251
Th 3.6361 -7.0756 7.2752
```

Principal peaks in the range 10° ≤ 2θ ≤ 90°, most intense first:
two_theta, d [Å], I_rel
30.9, 2.893, 100.0
30.1, 2.970, 77.4
29.7, 3.005, 75.7
28.3, 3.157, 73.3
31.2, 2.865, 62.9
31.3, 2.859, 59.9



[10]
Computed XRD peak list of PmNd2Dy5Th for Cu Kα X-rays, from a structure optimized by DFT (PBE).
Intensities are scaled so that the largest is 100.

Structure:
```
18
Lattice="-4.3654 4.3654 7.7522 4.3654 -4.3654 7.7522 4.3654 4.3654 -7.7522" Properties=species:S:1:pos:R:3 pbc="T T T"
Pm 4.3654 0.0000 3.8761
Pm 0.0000 4.3654 3.8761
Nd 5.3845 1.0191 0.0000
Nd 1.0191 3.3462 0.0000
Nd 3.3462 1.0191 7.7522
Nd -1.0191 3.3462 7.7522
Dy 0.0000 0.0000 0.0000
Dy 2.5118 1.8536 -2.1647
Dy 2.5118 -1.8536 5.5875
Dy 2.5118 1.8536 2.1647
Dy 2.5118 -1.8536 9.9169
Dy 0.0000 0.0000 7.7522
Dy 1.8536 6.2190 -2.1647
Dy 1.8536 2.5118 5.5875
Dy 1.8536 6.2190 2.1647
Dy 1.8536 2.5118 9.9169
Th 0.0000 0.0000 3.8761
Th 0.0000 0.0000 11.6283
```

Principal peaks in the range 10° ≤ 2θ ≤ 90°, most intense first:
two_theta, d [Å], I_rel
30.9, 2.898, 100.0
28.9, 3.087, 53.6
28.7, 3.115, 39.4
52.5, 1.744, 25.3
43.1, 2.100, 19.6
32.4, 2.761, 15.6



[11]
Computed XRD peak list of PmNd2Dy2Th2 for Cu Kα X-rays, from a structure optimized by DFT (PBE).
Intensities are scaled so that the largest is 100.

Structure:
```
7
Lattice="8.9103 -1.7435 0.0000 8.9103 1.7435 0.0000 -4.0299 0.0000 7.6093" Properties=species:S:1:pos:R:3 pbc="T T T"
Pm 0.0000 0.0000 0.0000
Nd 5.8271 0.0000 0.9862
Nd 7.9637 0.0000 6.6231
Dy 2.5477 0.0000 2.2903
Dy 11.2431 0.0000 5.3191
Th 5.3376 0.0000 4.4994
Th 8.4532 0.0000 3.1099
```

Principal peaks in the range 10° ≤ 2θ ≤ 90°, most intense first:
two_theta, d [Å], I_rel
30.4, 2.942, 100.0
30.5, 2.930, 95.6
27.6, 3.232, 88.7
33.6, 2.665, 86.8
31.8, 2.815, 83.7
35.8, 2.506, 70.9



[12]
Computed XRD peak list of Pm5NdDyTm2 for Cu Kα X-rays, from a structure optimized by DFT (PBE).
Intensities are scaled so that the largest is 100.

Structure:
```
18
Lattice="2.8208 -10.1375 0.0000 2.8208 10.1375 0.0000 0.0000 0.0000 10.7225" Properties=species:S:1:pos:R:3 pbc="T T T"
Pm 2.8208 9.7996 5.3612
Pm 2.8208 4.4269 8.4178
Pm 2.8208 4.1089 1.9429
Pm 2.8208 2.1911 5.3855
Pm 2.8208 0.4238 2.3421
Pm 2.8208 -0.4238 7.7033
Pm 2.8208 -2.1911 0.0243
Pm 2.8208 -4.1089 7.3041
Pm 2.8208 -4.4269 3.0566
Pm 2.8208 -9.7996 0.0000
Nd 2.8208 6.0520 5.2178
Nd 2.8208 -6.0520 10.5790
Dy 2.8208 1.7918 10.0043
Dy 2.8208 -1.7918 4.6431
Tm 2.8208 7.9097 2.3125
Tm 2.8208 7.7854 8.5196
Tm 2.8208 -7.7854 3.1584
Tm 2.8208 -7.9097 7.6737
```

Principal peaks in the range 10° ≤ 2θ ≤ 90°, most intense first:
two_theta, d [Å], I_rel
31.9, 2.806, 100.0
31.7, 2.821, 38.4
29.9, 2.986, 33.8
56.6, 1.626, 19.9
27.7, 3.223, 14.9
33.4, 2.681, 12.1



[13]
Computed XRD peak list of PmNdDy2Tm for Cu Kα X-rays, from a structure optimized by DFT (PBE).
Intensities are scaled so that the largest is 100.

Structure:
```
10
Lattice="4.2099 -5.7625 0.0000 4.2099 5.7625 0.0000 0.0000 0.0000 7.1690" Properties=species:S:1:pos:R:3 pbc="T T T"
Pm 4.2099 5.7481 5.3768
Pm 4.2099 -5.7481 1.7923
Nd 4.2099 2.6458 5.3768
Nd 4.2099 -2.6458 1.7923
Dy 2.6343 0.0000 0.0000
Dy 2.6343 0.0000 3.5845
Dy 5.7854 0.0000 0.0000
Dy 5.7854 0.0000 3.5845
Tm 4.2099 2.5502 1.7923
Tm 4.2099 -2.5502 5.3768
```

Principal peaks in the range 10° ≤ 2θ ≤ 90°, most intense first:
two_theta, d [Å], I_rel
32.8, 2.729, 100.0
45.8, 1.981, 49.6
31.0, 2.881, 47.9
29.3, 3.044, 47.3
35.9, 2.502, 42.6
26.2, 3.399, 40.1